# 1
# LaNd2CuS5
Calculated XRD peak list, Cu Kα. Input: a DFT-relaxed cell (GGA-PBE, Alexandria).
Lines closer than 0.1° are merged.

Crystal structure
a b c (Å): 9.367 9.367 11.406
angles (deg): 90.00 90.00 155.63
Fractional coordinates of all 18 atoms:
La  0.198  0.802  0.500
La  0.802  0.198  0.000
Nd  0.095  0.905  0.175
Nd  0.111  0.889  0.802
Nd  0.889  0.111  0.302
Nd  0.905  0.095  0.675
Cu  0.439  0.561  0.943
Cu  0.561  0.439  0.443
S  0.047  0.953  0.550
S  0.299  0.701  0.182
S  0.330  0.670  0.827
S  0.360  0.640  0.495
S  0.497  0.503  0.271
S  0.503  0.497  0.771
S  0.640  0.360  0.995
S  0.670  0.330  0.327
S  0.701  0.299  0.682
S  0.953  0.047  0.050

The 8 most intense peaks (10° ≤ 2θ ≤ 90°), most intense first:
2theta	I/Imax
33.0	100
37.0	100
25.4	67
30.3	49
28.0	43
45.9	32
27.9	27
19.4	25



# 2
# La2NdCuSe5
Calculated XRD peak list, Cu Kα. Input: a DFT-relaxed cell (GGA-PBE, Alexandria).
Lines closer than 0.1° are merged.

Crystal structure
a b c (Å): 9.069 9.069 12.639
angles (deg): 90.00 90.00 153.53
Fractional coordinates of all 18 atoms:
La  0.113  0.887  0.500
La  0.116  0.884  0.847
La  0.884  0.116  0.347
La  0.887  0.113  0.000
Nd  0.178  0.822  0.178
Nd  0.822  0.178  0.678
Cu  0.447  0.553  0.576
Cu  0.553  0.447  0.076
Se  0.014  0.986  0.167
Se  0.302  0.698  0.844
Se  0.313  0.687  0.510
Se  0.346  0.654  0.172
Se  0.495  0.505  0.902
Se  0.505  0.495  0.402
Se  0.654  0.346  0.672
Se  0.687  0.313  0.010
Se  0.698  0.302  0.344
Se  0.986  0.014  0.667

The 8 most intense peaks (10° ≤ 2θ ≤ 90°), most intense first:
2theta	I/Imax
30.7	100
36.3	48
43.6	25
31.2	23
23.4	15
39.8	13
42.9	13
48.7	12



# 3
# La2CuNi9
Calculated XRD peak list, Cu Kα. Input: a DFT-relaxed cell (GGA-PBE, Alexandria).
Lines closer than 0.1° are merged.

Crystal structure
a b c (Å): 8.697 8.697 8.697
angles (deg): 32.99 32.99 32.99
Fractional coordinates of all 12 atoms:
La  0.132  0.132  0.132
La  0.868  0.868  0.868
Cu  0.000  0.000  0.000
Ni  0.079  0.578  0.578
Ni  0.333  0.333  0.333
Ni  0.422  0.422  0.921
Ni  0.422  0.921  0.422
Ni  0.500  0.500  0.500
Ni  0.578  0.079  0.578
Ni  0.578  0.578  0.079
Ni  0.667  0.667  0.667
Ni  0.921  0.422  0.422

The 8 most intense peaks (10° ≤ 2θ ≤ 90°), most intense first:
2theta	I/Imax
42.7	100
35.9	64
36.4	61
42.4	52
46.3	48
32.9	46
45.7	33
77.3	31



# 4
# LaCuNi4
Calculated XRD peak list, Cu Kα. Input: a DFT-relaxed cell (GGA-PBE, Alexandria).
Lines closer than 0.1° are merged.

Crystal structure
a b c (Å): 5.033 5.033 3.989
angles (deg): 90.00 90.00 120.00
Fractional coordinates of all 6 atoms:
La  0.000  0.000  0.000
Cu  0.333  0.667  0.000
Ni  0.501  0.002  0.500
Ni  0.501  0.499  0.500
Ni  0.667  0.333  0.000
Ni  0.998  0.499  0.500

The 8 most intense peaks (10° ≤ 2θ ≤ 90°), most intense first:
2theta	I/Imax
42.5	100
30.4	40
41.4	33
35.7	31
45.5	26
68.8	22
63.2	18
75.6	16



# 5
# La2Cu5Ni4
Calculated XRD peak list, Cu Kα. Input: a DFT-relaxed cell (GGA-PBE, Alexandria).
Lines closer than 0.1° are merged.

Crystal structure
a b c (Å): 9.166 8.416 5.060
angles (deg): 81.61 65.29 33.10
Fractional coordinates of all 11 atoms:
La  0.136  0.136  0.864
La  0.864  0.864  0.136
Cu  0.000  0.000  0.500
Cu  0.250  0.250  0.250
Cu  0.500  0.500  0.000
Cu  0.500  0.500  0.500
Cu  0.750  0.750  0.750
Ni  0.209  0.539  0.461
Ni  0.461  0.791  0.209
Ni  0.539  0.209  0.791
Ni  0.791  0.461  0.539

The 8 most intense peaks (10° ≤ 2θ ≤ 90°), most intense first:
2theta	I/Imax
39.4	100
42.7	84
36.0	57
30.1	49
26.4	47
45.1	46
41.6	41
75.1	37



# 6
# La2Cu12Ni5
Calculated XRD peak list, Cu Kα. Input: a DFT-relaxed cell (GGA-PBE, Alexandria).
Lines closer than 0.1° are merged.

Crystal structure
a b c (Å): 6.471 6.471 6.471
angles (deg): 83.30 83.30 83.30
Fractional coordinates of all 19 atoms:
La  0.169  0.169  0.169
La  0.831  0.831  0.831
Cu  0.158  0.158  0.651
Cu  0.158  0.651  0.158
Cu  0.212  0.500  0.788
Cu  0.212  0.788  0.500
Cu  0.349  0.842  0.842
Cu  0.500  0.212  0.788
Cu  0.500  0.788  0.212
Cu  0.651  0.158  0.158
Cu  0.788  0.212  0.500
Cu  0.788  0.500  0.212
Cu  0.842  0.349  0.842
Cu  0.842  0.842  0.349
Ni  0.000  0.500  0.500
Ni  0.402  0.402  0.402
Ni  0.500  0.000  0.500
Ni  0.500  0.500  0.000
Ni  0.598  0.598  0.598

The 8 most intense peaks (10° ≤ 2θ ≤ 90°), most intense first:
2theta	I/Imax
42.4	100
42.0	65
36.2	37
43.6	36
47.6	34
29.9	28
37.7	23
43.7	21



- What is the formula in the fifth record?
  La2Cu5Ni4